For Ho2FeSi2, DFT lattice parameters and positions (GGA-PBE) gives the theoretical powder XRD pattern in this record (λ = 1.5418 Å (Cu Kα)).
Intensities are scaled so that the largest is 100.

Cell and atoms:
Cell: 5.6065 5.6065 9.9261 Å, 116.92 116.92 43.20°
Sites, in units of the cell vectors:
Ho: 0.0010 0.0010 0.3285
Ho: 0.1882 0.1882 0.1091
Ho: 0.8118 0.8118 0.8909
Ho: 0.9990 0.9990 0.6715
Fe: 0.2720 0.2720 0.6238
Fe: 0.7280 0.7280 0.3762
Si: 0.3460 0.3460 0.4357
Si: 0.4982 0.4982 0.1258
Si: 0.5018 0.5018 0.8742
Si: 0.6540 0.6540 0.5643

Peak list (12 most intense, 2θ = 10–80°, sorted by position)
two_theta  intensity
23.66  97
26.17  38
27.34  72
33.96  87
34.31  66
34.44  41
34.58  100
35.16  89
37.73  63
41.67  35
42.15  50
43.86  66